(1)
Computed XRD peak list of Tb4Pr6Ho for copper Kα, from the PBE geometry in Alexandria.
No peak broadening, texture or thermal motion is included.

Main lines, low angle first (10 to 90 degrees two-theta):
| d [Å] | 2θ (°) | I (rel.) |
| --- | --- | --- |
| 3.214 | 27.8 | 28 |
| 3.104 | 28.8 | 67 |
| 2.942 | 30.4 | 42 |
| 2.924 | 30.6 | 100 |
| 2.650 | 33.8 | 77 |
| 2.344 | 38.4 | 26 |
| 2.270 | 39.7 | 47 |
| 1.602 | 57.5 | 28 |

Cell and atoms:
```
Tb4Pr6Ho
1.0
-3.3154 3.3154 8.8264
3.3154 -3.3154 8.8264
3.3154 3.3154 -8.8264
Tb Pr Ho
4 6 1
direct
0.1395 0.1395 0.6290
0.4895 0.8605 0.0000
0.5105 0.5105 0.3710
0.8605 0.4895 0.0000
0.0000 0.5000 0.5000
0.0435 0.6855 0.0000
0.3145 0.3145 0.3580
0.5000 0.0000 0.5000
0.6855 0.0435 0.0000
0.9565 0.9565 0.6420
0.5000 0.5000 0.0000
```

(2)
Computed XRD peak list of Na3Hg2Au for copper Kα, from the PBE geometry in Alexandria.
No peak broadening, texture or thermal motion is included.

Main lines, low angle first (10 to 90 degrees two-theta):
| d [Å] | 2θ (°) | I (rel.) |
| --- | --- | --- |
| 4.112 | 21.6 | 100 |
| 4.044 | 22.0 | 85 |
| 2.678 | 33.5 | 53 |
| 2.626 | 34.1 | 100 |
| 2.605 | 34.4 | 49 |
| 2.287 | 39.4 | 34 |
| 2.277 | 39.6 | 67 |
| 1.366 | 68.7 | 29 |

Cell and atoms:
```
Na3Hg2Au
1.0
7.8142 -3.2077 0.0000
7.8142 3.2077 0.0000
-0.0552 0.0000 5.6813
Na Hg Au
6 4 2
direct
0.1384 0.8616 0.7500
0.2218 0.4584 0.5739
0.4584 0.2218 0.0739
0.5416 0.7782 0.9261
0.7782 0.5416 0.4261
0.8616 0.1384 0.2500
0.0396 0.2919 0.9113
0.2919 0.0396 0.4113
0.7081 0.9604 0.5887
0.9604 0.7081 0.0887
0.3641 0.6359 0.2500
0.6359 0.3641 0.7500
```

(3)
Computed XRD peak list of PrGe4Rh for copper Kα, from the PBE geometry in Alexandria.
No peak broadening, texture or thermal motion is included.

Main lines, low angle first (10 to 90 degrees two-theta):
| d [Å] | 2θ (°) | I (rel.) |
| --- | --- | --- |
| 3.105 | 28.8 | 30 |
| 2.848 | 31.4 | 68 |
| 2.812 | 31.8 | 79 |
| 2.611 | 34.3 | 100 |
| 2.509 | 35.8 | 31 |
| 2.165 | 41.7 | 52 |
| 1.787 | 51.1 | 24 |
| 1.750 | 52.3 | 24 |

Cell and atoms:
```
PrGe4Rh
1.0
6.3231 0.0000 0.0000
3.1580 5.6637 0.0000
0.0030 0.8167 6.8890
Pr Ge Rh
2 8 2
direct
0.1056 0.4987 0.2507
0.8944 0.5013 0.7493
0.1253 0.0076 0.1419
0.3255 0.6059 0.5918
0.3664 0.0091 0.6419
0.4294 0.3953 0.9086
0.5706 0.6047 0.0914
0.6336 0.9909 0.3581
0.6745 0.3941 0.4082
0.8747 0.9924 0.8581
0.0000 0.0000 0.5000
0.5000 0.0000 0.0000
```

(4)
Computed XRD peak list of Sr6YScB6O18 for copper Kα, from the PBE geometry in Alexandria.
No peak broadening, texture or thermal motion is included.

Main lines, low angle first (10 to 90 degrees two-theta):
| d [Å] | 2θ (°) | I (rel.) |
| --- | --- | --- |
| 3.734 | 23.8 | 51 |
| 3.074 | 29.1 | 100 |
| 2.846 | 31.4 | 42 |
| 2.519 | 35.6 | 25 |
| 2.350 | 38.3 | 22 |
| 2.204 | 40.9 | 18 |
| 2.031 | 44.6 | 29 |
| 1.878 | 48.5 | 26 |

Cell and atoms:
```
Sr6YScB6O18
1.0
6.2173 3.5896 3.1256
-6.2173 3.5896 3.1256
0.0000 -7.1791 3.1256
Sr Y Sc B O
6 1 1 6 18
direct
0.1543 0.2660 0.6441
0.2660 0.6441 0.1543
0.3559 0.8457 0.7340
0.6441 0.1543 0.2660
0.7340 0.3559 0.8457
0.8457 0.7340 0.3559
0.0000 0.0000 0.0000
0.5000 0.5000 0.5000
0.0435 0.3831 0.2929
0.2929 0.0435 0.3831
0.3831 0.2929 0.0435
0.6169 0.7071 0.9565
0.7071 0.9565 0.6169
0.9565 0.6169 0.7071
0.0231 0.8091 0.7347
0.0608 0.5370 0.8094
0.1909 0.2653 0.9769
0.1906 0.9392 0.4630
0.2199 0.4965 0.4328
0.2653 0.9769 0.1909
0.4328 0.2199 0.4965
0.4630 0.1906 0.9392
0.4965 0.4328 0.2199
0.5035 0.5672 0.7801
0.5370 0.8094 0.0608
0.5672 0.7801 0.5035
0.7347 0.0231 0.8091
0.7801 0.5035 0.5672
0.8094 0.0608 0.5370
0.8091 0.7347 0.0231
0.9392 0.4630 0.1906
0.9769 0.1909 0.2653
```